(1)
Starting from a GGA+U-relaxed structure, the X-ray diffraction stick pattern of La2FeF was computed for Cu Ka.

Main lines, sorted by position (2θ = 15–90°):
25.01 deg, I 100
28.26 deg, I 9
29.31 deg, I 12
33.64 deg, I 18
41.17 deg, I 37
41.93 deg, I 14
48.10 deg, I 17
49.44 deg, I 19
65.68 deg, I 8
78.93 deg, I 9

Crystal structure
a b c (Å): 7.6461 7.6461 7.6461
angles (deg): 133.02 133.02 68.62
Fractional coordinates of all 8 atoms:
La: 0.0682 0.6250 0.9432
La: 0.3750 0.3182 0.4432
La: 0.6818 0.1250 0.0568
La: 0.8750 0.9318 0.5568
Fe: 0.2500 0.7500 0.5000
Fe: 0.5000 0.5000 0.0000
F: 0.0000 0.0000 0.0000
F: 0.7500 0.2500 0.5000

***

(2)
Starting from a GGA+U-relaxed structure, the X-ray diffraction stick pattern of LiFe2F7 was computed for Cu Ka.

Main lines, sorted by position (2θ = 15–90°):
16.13 deg, I 100
17.96 deg, I 48
19.29 deg, I 37
24.11 deg, I 43
26.45 deg, I 16
32.18 deg, I 28
36.59 deg, I 17
38.50 deg, I 22
54.22 deg, I 15
55.19 deg, I 14

Crystal structure
a b c (Å): 5.5956 5.1982 10.0603
angles (deg): 90.00 100.91 90.00
Fractional coordinates of all 20 atoms:
Li: 0.0000 0.0215 0.2500
Li: 0.0000 0.9785 0.7500
Fe: 0.4234 0.2514 0.5677
Fe: 0.4234 0.7486 0.0677
Fe: 0.5766 0.2514 0.9323
Fe: 0.5766 0.7486 0.4323
F: 0.1526 0.1031 0.6175
F: 0.1526 0.8969 0.1175
F: 0.2836 0.4349 0.9783
F: 0.2836 0.5651 0.4783
F: 0.3584 0.0577 0.3890
F: 0.3584 0.9423 0.8890
F: 0.5000 0.4037 0.7500
F: 0.5000 0.5963 0.2500
F: 0.6416 0.0577 0.1110
F: 0.6416 0.9423 0.6110
F: 0.7164 0.4349 0.5217
F: 0.7164 0.5651 0.0217
F: 0.8474 0.1031 0.8825
F: 0.8474 0.8969 0.3825

***

(3)
Starting from a GGA+U-relaxed structure, the X-ray diffraction stick pattern of LiFe2F5 was computed for Cu Ka.

Main lines, sorted by position (2θ = 15–90°):
17.74 deg, I 100
18.77 deg, I 41
24.90 deg, I 44
28.85 deg, I 100
31.60 deg, I 51
37.88 deg, I 31
42.11 deg, I 23
48.58 deg, I 34
51.76 deg, I 31
60.35 deg, I 28

Crystal structure
a b c (Å): 5.3660 6.0213 7.5795
angles (deg): 109.70 90.06 116.32
Fractional coordinates of all 16 atoms:
Li: 0.0000 0.0000 0.0000
Li: 0.2266 0.0033 0.5023
Fe: 0.3978 0.5899 0.6602
Fe: 0.4132 0.5882 0.1597
Fe: 0.7779 0.3422 0.9164
Fe: 0.7881 0.3427 0.4173
F: 0.0630 0.2190 0.5034
F: 0.1226 0.7138 0.5723
F: 0.2087 0.5621 0.9053
F: 0.3780 0.2190 0.0019
F: 0.4584 0.9564 0.3075
F: 0.5719 0.5572 0.4002
F: 0.5856 0.3356 0.6669
F: 0.7234 0.9580 0.8078
F: 0.8081 0.7125 0.0722
F: 0.9763 0.3376 0.1675

***

(4)
Starting from a GGA+U-relaxed structure, the X-ray diffraction stick pattern of LiFe2F7 was computed for Cu Ka.

Main lines, sorted by position (2θ = 15–90°):
17.07 deg, I 98
17.70 deg, I 85
19.56 deg, I 23
21.38 deg, I 100
25.89 deg, I 24
37.78 deg, I 38
39.72 deg, I 23
42.07 deg, I 29
44.26 deg, I 24
45.50 deg, I 21

Crystal structure
a b c (Å): 5.2299 9.3311 5.9795
angles (deg): 90.00 96.67 90.00
Fractional coordinates of all 20 atoms:
Li: 0.1836 0.2500 0.3613
Li: 0.8164 0.7500 0.6387
Fe: 0.1394 0.5974 0.1742
Fe: 0.1394 0.9026 0.1742
Fe: 0.8606 0.0974 0.8258
Fe: 0.8606 0.4026 0.8258
F: 0.0094 0.7500 0.3793
F: 0.0107 0.2500 0.0495
F: 0.2045 0.0056 0.8999
F: 0.2045 0.4944 0.8999
F: 0.2607 0.0461 0.3704
F: 0.2607 0.4539 0.3704
F: 0.4102 0.7500 0.1978
F: 0.5898 0.2500 0.8022
F: 0.7393 0.5461 0.6296
F: 0.7393 0.9539 0.6296
F: 0.7955 0.5056 0.1001
F: 0.7955 0.9944 0.1001
F: 0.9893 0.7500 0.9505
F: 0.9906 0.2500 0.6207

***

(5)
Starting from a GGA+U-relaxed structure, the X-ray diffraction stick pattern of LiFeF3 was computed for Cu Ka.

Main lines, sorted by position (2θ = 15–90°):
16.46 deg, I 65
18.28 deg, I 100
25.83 deg, I 80
29.18 deg, I 45
29.93 deg, I 32
30.82 deg, I 66
33.12 deg, I 31
39.45 deg, I 51
44.21 deg, I 61
56.67 deg, I 37

Crystal structure
a b c (Å): 6.5396 6.5743 8.6642
angles (deg): 93.67 104.82 96.63
Fractional coordinates of all 30 atoms:
Li: 0.0387 0.4008 0.2964
Li: 0.2113 0.8153 0.0160
Li: 0.4455 0.9671 0.7496
Li: 0.5545 0.0329 0.2504
Li: 0.7887 0.1847 0.9840
Li: 0.9613 0.5992 0.7036
Fe: 0.1285 0.8864 0.3994
Fe: 0.3001 0.3164 0.9962
Fe: 0.4167 0.4141 0.6495
Fe: 0.5833 0.5859 0.3505
Fe: 0.6999 0.6836 0.0038
Fe: 0.8715 0.1136 0.6006
F: 0.0343 0.8329 0.5969
F: 0.0533 0.3258 0.0889
F: 0.1270 0.3634 0.7362
F: 0.2471 0.9372 0.2206
F: 0.2938 0.0265 0.9039
F: 0.2937 0.5616 0.4331
F: 0.3639 0.1160 0.5685
F: 0.4226 0.6338 0.0904
F: 0.4808 0.6936 0.7704
F: 0.5192 0.3064 0.2296
F: 0.5774 0.3662 0.9096
F: 0.6361 0.8840 0.4315
F: 0.7063 0.4384 0.5669
F: 0.7062 0.9735 0.0961
F: 0.7529 0.0628 0.7794
F: 0.8730 0.6367 0.2638
F: 0.9467 0.6742 0.9111
F: 0.9657 0.1671 0.4031

***

(6)
Starting from a GGA+U-relaxed structure, the X-ray diffraction stick pattern of LiFeF3 was computed for Cu Ka.

Main lines, sorted by position (2θ = 15–90°):
21.61 deg, I 100
30.66 deg, I 46
33.37 deg, I 67
37.97 deg, I 57
45.92 deg, I 33
49.68 deg, I 31
52.90 deg, I 27
56.18 deg, I 25
56.62 deg, I 16
62.75 deg, I 25

Crystal structure
a b c (Å): 7.3450 7.3450 5.0236
angles (deg): 90.00 90.00 154.43
Fractional coordinates of all 10 atoms:
Li: 0.0437 0.9563 0.5000
Li: 0.9563 0.0437 0.0000
Fe: 0.3321 0.6679 0.5230
Fe: 0.6679 0.3321 0.0230
F: 0.0878 0.9122 0.8598
F: 0.2434 0.7566 0.2046
F: 0.4227 0.5773 0.8283
F: 0.5773 0.4227 0.3283
F: 0.7566 0.2434 0.7046
F: 0.9122 0.0878 0.3598

***

(7)
Starting from a GGA+U-relaxed structure, the X-ray diffraction stick pattern of Li5FeF8 was computed for Cu Ka.

Main lines, sorted by position (2θ = 15–90°):
18.48 deg, I 100
23.76 deg, I 44
25.88 deg, I 23
35.33 deg, I 18
36.84 deg, I 11
38.65 deg, I 11
43.00 deg, I 37
43.26 deg, I 74
57.49 deg, I 12
62.64 deg, I 37

Crystal structure
a b c (Å): 5.1228 5.1228 5.9882
angles (deg): 90.00 90.00 110.43
Fractional coordinates of all 14 atoms:
Li: 0.0000 0.0000 0.0000
Li: 0.0000 0.5000 0.2254
Li: 0.0000 0.5000 0.7746
Li: 0.5000 0.0000 0.2254
Li: 0.5000 0.0000 0.7746
Fe: 0.0000 0.0000 0.5000
F: 0.2251 0.2251 0.2607
F: 0.2251 0.2251 0.7393
F: 0.2332 0.7668 0.0000
F: 0.2328 0.7672 0.5000
F: 0.7668 0.2332 0.0000
F: 0.7672 0.2328 0.5000
F: 0.7749 0.7749 0.2607
F: 0.7749 0.7749 0.7393

***

(8)
Starting from a GGA+U-relaxed structure, the X-ray diffraction stick pattern of LiFeF3 was computed for Cu Ka.

Main lines, sorted by position (2θ = 15–90°):
20.21 deg, I 18
27.18 deg, I 54
27.46 deg, I 100
34.94 deg, I 14
39.77 deg, I 36
40.35 deg, I 18
45.36 deg, I 24
52.02 deg, I 47
52.51 deg, I 26
63.53 deg, I 20

Crystal structure
a b c (Å): 5.1368 5.1368 4.8235
angles (deg): 90.00 90.00 121.21
Fractional coordinates of all 10 atoms:
Li: 0.0038 0.9962 0.7500
Li: 0.9962 0.0038 0.2500
Fe: 0.3336 0.6664 0.7500
Fe: 0.6664 0.3336 0.2500
F: 0.0076 0.3229 0.5040
F: 0.3108 0.3108 0.0000
F: 0.3229 0.0076 0.4960
F: 0.6771 0.9924 0.9960
F: 0.6892 0.6892 0.5000
F: 0.9924 0.6771 0.0040

***

Question: What is the formula in the fifth record?
Answer: LiFeF3